Entry 1:
Theoretical X-ray diffraction stick pattern
Compound: TiZnBiO5
Radiation: copper Kα
Structure: a PBE-relaxed structure
Peak positions follow from Bragg's law for the DFT cell and can differ from measured ones.

Largest 6 diffraction maxima, sorted by position, 2θ = 10–80°:
| 2θ/deg | I (rel.) |
| --- | --- |
| 13.7 | 47 |
| 17.6 | 53 |
| 24.1 | 35 |
| 25.0 | 82 |
| 28.7 | 100 |
| 34.3 | 42 |

Cell and atoms:
a = 5.3103 Å, b = 10.8931 Å, c = 8.4914 Å
α = 90.00°, β = 108.04°, γ = 90.00°
Atoms (fractional coordinates):
1 Ti 0.1363 0.1180 0.4428
2 Ti 0.1363 0.3820 0.9428
3 Ti 0.8637 0.6180 0.0572
4 Ti 0.8637 0.8820 0.5572
5 Zn 0.4736 0.6020 0.3429
6 Zn 0.4736 0.8980 0.8429
7 Zn 0.5264 0.1020 0.1571
8 Zn 0.5264 0.3980 0.6571
9 Bi 0.0457 0.6047 0.6599
10 Bi 0.0457 0.8953 0.1599
11 Bi 0.9543 0.1047 0.8401
12 Bi 0.9543 0.3953 0.3401
13 O 0.1328 0.0461 0.6441
14 O 0.1328 0.4539 0.1441
15 O 0.1812 0.6968 0.1825
16 O 0.1812 0.8032 0.6825
17 O 0.2429 0.5340 0.4830
18 O 0.2429 0.9660 0.9830
19 O 0.2928 0.2306 0.0054
20 O 0.2928 0.2694 0.5054
21 O 0.3177 0.0446 0.3127
22 O 0.3177 0.4554 0.8127
23 O 0.6823 0.5446 0.1873
24 O 0.6823 0.9554 0.6873
25 O 0.7072 0.7306 0.4946
26 O 0.7072 0.7694 0.9946
27 O 0.7571 0.0340 0.0170
28 O 0.7571 0.4660 0.5170
29 O 0.8188 0.1968 0.3175
30 O 0.8188 0.3032 0.8175
31 O 0.8672 0.5461 0.8559
32 O 0.8672 0.9539 0.3559



Entry 2:
Theoretical X-ray diffraction stick pattern
Compound: TiZnBi2O6
Radiation: copper Kα
Structure: a PBE-relaxed structure
Peak positions follow from Bragg's law for the DFT cell and can differ from measured ones.

Largest 6 diffraction maxima, sorted by position, 2θ = 10–80°:
| 2θ/deg | I (rel.) |
| --- | --- |
| 17.8 | 32 |
| 23.5 | 22 |
| 29.7 | 100 |
| 33.5 | 36 |
| 50.1 | 23 |
| 57.5 | 32 |

Cell and atoms:
a = 3.7823 Å, b = 3.7823 Å, c = 9.9563 Å
α = 90.00°, β = 90.00°, γ = 90.00°
Atoms (fractional coordinates):
1 Ti 0.0000 0.0000 0.0000
2 Zn 0.0000 0.0000 0.4738
3 Bi 0.5000 0.5000 0.2118
4 Bi 0.5000 0.5000 0.6801
5 O 0.0000 0.0000 0.2761
6 O 0.0000 0.0000 0.8282
7 O 0.0000 0.5000 0.0616
8 O 0.0000 0.5000 0.5598
9 O 0.5000 0.0000 0.0616
10 O 0.5000 0.0000 0.5598



Entry 3:
Theoretical X-ray diffraction stick pattern
Compound: TiZnBi2O6
Radiation: copper Kα
Structure: a PBE-relaxed structure
Peak positions follow from Bragg's law for the DFT cell and can differ from measured ones.

Largest 6 diffraction maxima, sorted by position, 2θ = 10–80°:
| 2θ/deg | I (rel.) |
| --- | --- |
| 17.8 | 32 |
| 23.7 | 21 |
| 29.8 | 100 |
| 33.8 | 34 |
| 50.2 | 26 |
| 58.0 | 31 |

Cell and atoms:
a = 5.3008 Å, b = 5.3008 Å, c = 4.9954 Å
α = 90.00°, β = 90.00°, γ = 90.00°
Atoms (fractional coordinates):
1 Ti 0.0000 0.0000 0.0000
2 Zn 0.5000 0.5000 0.0330
3 Bi 0.0000 0.5000 0.5858
4 Bi 0.5000 0.0000 0.5858
5 O 0.0000 0.0000 0.3576
6 O 0.2429 0.2429 0.8588
7 O 0.2429 0.7571 0.8588
8 O 0.5000 0.5000 0.4151
9 O 0.7571 0.2429 0.8588
10 O 0.7571 0.7571 0.8588



Entry 4:
Theoretical X-ray diffraction stick pattern
Compound: TiZnBi2O6
Radiation: copper Kα
Structure: a PBE-relaxed structure
Peak positions follow from Bragg's law for the DFT cell and can differ from measured ones.

Largest 6 diffraction maxima, sorted by position, 2θ = 10–80°:
| 2θ/deg | I (rel.) |
| --- | --- |
| 18.9 | 67 |
| 24.5 | 47 |
| 28.9 | 31 |
| 31.4 | 100 |
| 47.7 | 26 |
| 52.8 | 25 |

Cell and atoms:
a = 7.1609 Å, b = 4.7676 Å, c = 4.7676 Å
α = 80.88°, β = 90.00°, γ = 90.00°
Atoms (fractional coordinates):
1 Ti 0.0000 0.0000 0.0000
2 Zn 0.5000 0.9983 0.9983
3 Bi 0.2612 0.4133 0.4133
4 Bi 0.7388 0.4133 0.4133
5 O 0.0000 0.0946 0.6190
6 O 0.0000 0.6190 0.0946
7 O 0.2386 0.1151 0.1151
8 O 0.5000 0.1389 0.5900
9 O 0.5000 0.5900 0.1389
10 O 0.7614 0.1151 0.1151



Entry 5:
Theoretical X-ray diffraction stick pattern
Compound: TiZnBi2O6
Radiation: copper Kα
Structure: a PBE-relaxed structure
Peak positions follow from Bragg's law for the DFT cell and can differ from measured ones.

Largest 6 diffraction maxima, sorted by position, 2θ = 10–80°:
| 2θ/deg | I (rel.) |
| --- | --- |
| 22.7 | 33 |
| 31.9 | 100 |
| 32.3 | 54 |
| 39.5 | 34 |
| 46.3 | 31 |
| 57.3 | 39 |

Cell and atoms:
a = 3.9186 Å, b = 3.9186 Å, c = 8.0580 Å
α = 90.00°, β = 90.00°, γ = 90.00°
Atoms (fractional coordinates):
1 Ti 0.0000 0.0000 0.0000
2 Zn 0.0000 0.0000 0.5000
3 Bi 0.5000 0.5000 0.2783
4 Bi 0.5000 0.5000 0.7217
5 O 0.0000 0.0000 0.2416
6 O 0.0000 0.0000 0.7584
7 O 0.0000 0.5000 0.0000
8 O 0.0000 0.5000 0.5000
9 O 0.5000 0.0000 0.0000
10 O 0.5000 0.0000 0.5000



- Which formula does entry 3 have?
  TiZnBi2O6